Diffraction record for CaB4Mo. The powder XRD pattern is calculated, not measured: it uses a DFT-relaxed cell (GGA-PBE, Alexandria) and a wavelength of 1.5418 Å.
No peak broadening, texture or thermal motion is included.

Crystal structure
```
CaB4Mo
1.0
6.1190 0.0000 0.0000
0.0000 11.8202 0.0000
0.0000 0.0000 3.5357
Ca B Mo
4 16 4
direct
0.1247 0.1512 0.0000
0.3753 0.6512 0.0000
0.6247 0.3488 0.0000
0.8753 0.8488 0.0000
0.0217 0.6937 0.5000
0.1150 0.5476 0.5000
0.1333 0.9677 0.5000
0.2094 0.8140 0.5000
0.2906 0.3140 0.5000
0.3667 0.4677 0.5000
0.3850 0.0476 0.5000
0.4783 0.1937 0.5000
0.5217 0.8063 0.5000
0.6150 0.9524 0.5000
0.6333 0.5323 0.5000
0.7094 0.6860 0.5000
0.7906 0.1860 0.5000
0.8667 0.0323 0.5000
0.8850 0.4524 0.5000
0.9783 0.3063 0.5000
0.1281 0.4162 0.0000
0.3719 0.9162 0.0000
0.6281 0.0838 0.0000
0.8719 0.5838 0.0000
```

Peak list (12 most intense, 2θ = 10–80°, low angle first)
d [Å]  2θ/deg  Rel. int.
5.910  14.99  32
5.434  16.31  73
4.251  20.90  30
3.536  25.19  73
2.961  30.19  93
2.661  33.68  32
2.417  37.21  60
2.269  39.72  100
2.126  42.52  47
1.995  45.46  72
1.768  51.71  25
1.517  61.08  27